1.
Starting from a structure optimized by DFT (PBE), the X-ray powder pattern of Sc4GeIr2 was calculated for CuKα.
Intensities are scaled so that the largest is 100.

Structural model:
Unit cell a=7.925 b=7.925 c=7.925 alpha=33.55 beta=33.55 gamma=33.55
Fractional coordinates of all 7 atoms:
Sc  0.117  0.117  0.117
Sc  0.370  0.370  0.370
Sc  0.630  0.630  0.630
Sc  0.883  0.883  0.883
Ge  0.500  0.500  0.500
Ir  0.248  0.248  0.248
Ir  0.752  0.752  0.752

Largest 8 diffraction maxima, by angle, 2θ = 5–70°:
Position (°2θ)  I_rel
23.8  57
27.6  24
39.4  100
46.6  29
48.8  8
56.9  16
62.6  12
64.4  11

---

2.
Starting from a structure optimized by DFT (PBE), the X-ray powder pattern of Sr3CdBi3 was calculated for CuKα.
Intensities are scaled so that the largest is 100.

Structural model:
Unit cell a=11.178 b=11.178 c=14.098 alpha=90.00 beta=90.00 gamma=37.28
Fractional coordinates of all 28 atoms:
Sr  0.039  0.613  0.128
Sr  0.113  0.539  0.628
Sr  0.206  0.794  0.859
Sr  0.294  0.706  0.359
Sr  0.387  0.961  0.128
Sr  0.461  0.887  0.628
Sr  0.539  0.113  0.372
Sr  0.613  0.039  0.872
Sr  0.706  0.294  0.641
Sr  0.794  0.206  0.141
Sr  0.887  0.461  0.372
Sr  0.961  0.387  0.872
Cd  0.085  0.085  0.500
Cd  0.415  0.415  0.000
Cd  0.585  0.585  0.000
Cd  0.915  0.915  0.500
Bi  0.067  0.605  0.374
Bi  0.105  0.567  0.874
Bi  0.234  0.766  0.619
Bi  0.266  0.734  0.119
Bi  0.395  0.933  0.374
Bi  0.433  0.895  0.874
Bi  0.567  0.105  0.126
Bi  0.605  0.067  0.626
Bi  0.734  0.266  0.881
Bi  0.766  0.234  0.381
Bi  0.895  0.433  0.126
Bi  0.933  0.395  0.626

Largest 8 diffraction maxima, by angle, 2θ = 5–70°:
Position (°2θ)  I_rel
21.7  48
24.9  36
25.2  81
35.8  100
36.0  52
42.4  20
44.3  32
51.8  19

---

3.
Starting from a structure optimized by DFT (PBE), the X-ray powder pattern of LiCrTc2 was calculated for CuKα.
Intensities are scaled so that the largest is 100.

Structural model:
Unit cell a=2.534 b=4.069 c=5.182 alpha=90.00 beta=90.00 gamma=90.00
Fractional coordinates of all 4 atoms:
Li  0.000  0.000  0.000
Cr  0.000  0.000  0.500
Tc  0.500  0.500  0.245
Tc  0.500  0.500  0.755

Largest 8 diffraction maxima, by angle, 2θ = 5–70°:
Position (°2θ)  I_rel
21.8  81
34.6  25
41.3  100
42.0  96
44.5  40
50.4  55
55.5  26
69.5  40

---

4.
Starting from a structure optimized by DFT (PBE), the X-ray powder pattern of RbPb11 was calculated for CuKα.
Intensities are scaled so that the largest is 100.

Structural model:
Unit cell a=11.443 b=11.443 c=3.471 alpha=90.00 beta=90.00 gamma=120.00
Fractional coordinates of all 12 atoms:
Rb  0.000  0.000  0.000
Pb  0.000  0.500  0.000
Pb  0.179  0.359  0.500
Pb  0.179  0.821  0.500
Pb  0.333  0.667  0.000
Pb  0.359  0.179  0.500
Pb  0.500  0.000  0.000
Pb  0.500  0.500  0.000
Pb  0.641  0.821  0.500
Pb  0.667  0.333  0.000
Pb  0.821  0.179  0.500
Pb  0.821  0.641  0.500

Largest 8 diffraction maxima, by angle, 2θ = 5–70°:
Position (°2θ)  I_rel
8.9  17
30.1  20
31.3  100
31.5  47
35.3  32
55.6  17
55.8  17
62.6  29

---

5.
Starting from a structure optimized by DFT (PBE), the X-ray powder pattern of Sc3Pd7 was calculated for CuKα.
Intensities are scaled so that the largest is 100.

Structural model:
Unit cell a=7.630 b=7.630 c=5.648 alpha=103.69 beta=103.69 gamma=31.09
Fractional coordinates of all 10 atoms:
Sc  0.000  0.000  0.000
Sc  0.189  0.189  0.630
Sc  0.811  0.811  0.370
Pd  0.000  0.000  0.500
Pd  0.203  0.203  0.126
Pd  0.395  0.395  0.679
Pd  0.403  0.403  0.184
Pd  0.597  0.597  0.816
Pd  0.605  0.605  0.321
Pd  0.797  0.797  0.874

Largest 8 diffraction maxima, by angle, 2θ = 5–70°:
Position (°2θ)  I_rel
38.5  100
38.8  95
43.9  32
44.3  34
46.5  27
64.1  20
65.5  9
66.2  18

---

6.
Starting from a structure optimized by DFT (PBE), the X-ray powder pattern of Li2UTe4 was calculated for CuKα.
Intensities are scaled so that the largest is 100.

Structural model:
Unit cell a=8.178 b=8.178 c=8.178 alpha=112.58 beta=111.49 gamma=104.46
Fractional coordinates of all 14 atoms:
Li  0.000  0.000  0.500
Li  0.000  0.500  0.000
Li  0.466  0.216  0.250
Li  0.534  0.784  0.750
U  0.000  0.500  0.500
U  0.500  0.500  0.000
Te  0.169  0.219  0.950
Te  0.232  0.781  0.450
Te  0.294  0.333  0.539
Te  0.294  0.754  0.961
Te  0.706  0.246  0.039
Te  0.706  0.667  0.461
Te  0.768  0.219  0.550
Te  0.831  0.781  0.050

Largest 8 diffraction maxima, by angle, 2θ = 5–70°:
Position (°2θ)  I_rel
13.2  72
19.6  18
27.6  100
28.5  50
34.6  23
36.7  28
45.0  26
45.8  30

---

7.
Starting from a structure optimized by DFT (PBE), the X-ray powder pattern of CeSm3O6 was calculated for CuKα.
Intensities are scaled so that the largest is 100.

Structural model:
Unit cell a=6.968 b=6.968 c=6.968 alpha=91.43 beta=91.43 gamma=91.43
Fractional coordinates of all 20 atoms:
Ce  0.000  0.000  0.000
Ce  0.500  0.500  0.500
Sm  0.053  0.751  0.561
Sm  0.249  0.439  0.947
Sm  0.439  0.947  0.249
Sm  0.561  0.053  0.751
Sm  0.751  0.561  0.053
Sm  0.947  0.249  0.439
O  0.027  0.681  0.897
O  0.103  0.973  0.319
O  0.182  0.432  0.600
O  0.319  0.103  0.973
O  0.400  0.818  0.568
O  0.432  0.600  0.182
O  0.568  0.400  0.818
O  0.600  0.182  0.432
O  0.681  0.897  0.027
O  0.818  0.568  0.400
O  0.897  0.027  0.681
O  0.973  0.319  0.103

Largest 8 diffraction maxima, by angle, 2θ = 5–70°:
Position (°2θ)  I_rel
22.7  35
25.6  39
28.4  100
29.0  47
31.3  78
41.3  28
48.3  37
50.0  26

---

8.
Starting from a structure optimized by DFT (PBE), the X-ray powder pattern of Sr2Li2Ca3 was calculated for CuKα.
Intensities are scaled so that the largest is 100.

Structural model:
Unit cell a=17.068 b=17.068 c=4.045 alpha=90.00 beta=90.00 gamma=166.19
Fractional coordinates of all 7 atoms:
Sr  0.195  0.805  0.000
Sr  0.805  0.195  0.000
Li  0.372  0.628  0.500
Li  0.628  0.372  0.500
Ca  0.075  0.925  0.000
Ca  0.500  0.500  0.500
Ca  0.925  0.075  0.000

Largest 8 diffraction maxima, by angle, 2θ = 5–70°:
Position (°2θ)  I_rel
5.2  45
21.0  50
22.0  62
22.6  44
23.1  77
28.5  96
30.6  100
31.2  81